(1)
Calculated powder XRD pattern of Pm4ThAs5 for a wavelength of 1.5418 Å, from DFT lattice parameters and positions (GGA-PBE).
Peak positions follow from Bragg's law for the DFT cell and can differ from measured ones.

Most intense lines, 10° ≤ 2θ ≤ 80°, by angle:
2θ = 25.72°, 3.464 Å, I = 24
2θ = 29.78°, 3.000 Å, I = 100
2θ = 42.62°, 2.121 Å, I = 75
2θ = 50.45°, 1.809 Å, I = 12
2θ = 52.86°, 1.732 Å, I = 27
2θ = 61.85°, 1.500 Å, I = 12
2θ = 68.12°, 1.376 Å, I = 5
2θ = 70.12°, 1.342 Å, I = 23
2θ = 70.18°, 1.341 Å, I = 11
2θ = 78.01°, 1.225 Å, I = 21

```
10
Lattice="-2.123 2.998 10.603 2.123 -2.998 10.603 2.123 2.998 -10.603" Properties=species:S:1:pos:R:3 pbc="T T T"
Pm 0.000 0.000 2.158
Pm 0.000 0.000 6.330
Pm 0.000 0.000 14.877
Pm 0.000 0.000 19.049
Th 0.000 0.000 10.603
As 2.123 0.000 0.000
As 2.123 0.000 4.245
As 2.123 0.000 8.503
As 0.000 2.998 2.101
As 0.000 2.998 6.359
```

=====

(2)
Calculated powder XRD pattern of PmTh2ZrAs4 for a wavelength of 1.5418 Å, from DFT lattice parameters and positions (GGA-PBE).
Peak positions follow from Bragg's law for the DFT cell and can differ from measured ones.

Most intense lines, 10° ≤ 2θ ≤ 80°, by angle:
2θ = 25.10°, 3.548 Å, I = 8
2θ = 26.24°, 3.396 Å, I = 21
2θ = 30.44°, 2.936 Å, I = 100
2θ = 43.48°, 2.081 Å, I = 38
2θ = 43.70°, 2.071 Å, I = 37
2θ = 54.05°, 1.697 Å, I = 13
2θ = 63.35°, 1.468 Å, I = 12
2θ = 71.75°, 1.316 Å, I = 17
2θ = 72.11°, 1.310 Å, I = 11
2θ = 79.83°, 1.201 Å, I = 11

```
8
Lattice="7.158 0.000 0.000 0.000 4.160 0.000 -2.406 0.000 6.801" Properties=species:S:1:pos:R:3 pbc="T T T"
Pm 0.000 0.000 0.000
Th 2.376 0.000 3.400
Th 3.579 2.080 0.000
Zr -1.203 2.080 3.400
As -0.092 0.000 5.006
As 1.110 2.080 1.743
As 3.642 2.080 5.058
As 4.844 0.000 1.795
```